No. 1
Theoretical X-ray powder pattern
Compound: LaPr3Th4S8
Radiation: Cu Ka
Structure: a PBE-relaxed structure
Kinematic intensities with the Lorentz-polarization factor, no thermal factor.

Structure:
```
data_LaPr3Th4S8
_cell_length_a 8.1081
_cell_length_b 8.1081
_cell_length_c 20.1904
_cell_angle_alpha 90.00
_cell_angle_beta 90.00
_cell_angle_gamma 120.00
_space_group_name_H-M_alt 'R -3 m'
_space_group_IT_number 166
_space_group_name_Hall '-R 3 2"'
loop_
_atom_site_label
_atom_site_type_symbol
_atom_site_fract_x
_atom_site_fract_y
_atom_site_fract_z
La1 La 0.0000 0.0000 0.0000
Pr1 Pr 0.0000 0.5000 0.0000
Th1 Th 0.0000 0.0000 0.5000
Th2 Th 0.0000 0.5000 0.5000
S1 S 0.0000 0.0000 0.2490
S2 S 0.0013 0.5006 0.2487
```

Most intense lines, 2θ from 10° to 90°, low angle first:
| (hkl) | two_theta | I_rel |
| --- | --- | --- |
| 0 0 6 | 26.49 | 23.1 |
| 2 0 2 | 26.89 | 66.9 |
| 0 2 4 | 31.03 | 100.0 |
| 2 0 8 | 44.20 | 37.5 |
| 2 2 0 | 44.71 | 36.3 |
| 2 2 6 | 52.72 | 22.8 |
| 4 0 4 | 55.42 | 19.2 |
| 2 2 12 | 73.09 | 16.9 |


No. 2
Theoretical X-ray powder pattern
Compound: Al3C2
Radiation: Cu Ka
Structure: a PBE-relaxed structure
Kinematic intensities with the Lorentz-polarization factor, no thermal factor.

Structure:
```
data_Al3C2
_cell_length_a 5.8045
_cell_length_b 5.8045
_cell_length_c 6.8421
_cell_angle_alpha 90.00
_cell_angle_beta 90.00
_cell_angle_gamma 90.00
_space_group_name_H-M_alt 'I -4 2 d'
_space_group_IT_number 122
_space_group_name_Hall 'I -4 2bw'
loop_
_atom_site_label
_atom_site_type_symbol
_atom_site_fract_x
_atom_site_fract_y
_atom_site_fract_z
Al1 Al 0.0000 0.0000 0.0000
Al2 Al 0.0696 0.7500 0.6250
C1 C 0.2128 0.2500 0.1250
```

Most intense lines, 2θ from 10° to 90°, low angle first:
| (hkl) | two_theta | I_rel |
| --- | --- | --- |
| 1 1 2 | 34.12 | 19.8 |
| 2 1 1 | 37.04 | 100.0 |
| 2 0 2 | 40.77 | 33.3 |
| 1 0 3 | 42.59 | 24.2 |
| 3 1 2 | 56.93 | 18.9 |
| 3 2 1 | 58.94 | 16.9 |
| 2 0 4 | 63.06 | 16.0 |
| 3 3 2 | 74.73 | 12.7 |


No. 3
Theoretical X-ray powder pattern
Compound: La5PuSe8
Radiation: Cu Ka
Structure: a PBE-relaxed structure
Kinematic intensities with the Lorentz-polarization factor, no thermal factor.

Structure:
```
data_La5PuSe8
_cell_length_a 9.0609
_cell_length_b 9.0609
_cell_length_c 9.0295
_cell_angle_alpha 90.00
_cell_angle_beta 90.00
_cell_angle_gamma 90.00
_space_group_name_H-M_alt 'I -4'
_space_group_IT_number 82
loop_
_space_group_symop_operation_xyz
'x,y,z'
'y,-x,-z'
'-x,-y,z'
'-y,x,-z'
'x+1/2,y+1/2,z+1/2'
'y+1/2,-x+1/2,-z+1/2'
'-x+1/2,-y+1/2,z+1/2'
'-y+1/2,x+1/2,-z+1/2'
loop_
_atom_site_label
_atom_site_type_symbol
_atom_site_fract_x
_atom_site_fract_y
_atom_site_fract_z
La1 La 0.0000 0.0000 0.0000
La2 La 0.1259 0.2508 0.6222
Pu1 Pu 0.0000 0.5000 0.2500
Se1 Se 0.0735 0.1768 0.2976
Se2 Se 0.0762 0.3261 0.9506
```

Most intense lines, 2θ from 10° to 90°, low angle first:
| (hkl) | two_theta | I_rel |
| --- | --- | --- |
| 1 2 1 | 24.08 | 47.7 |
| 3 1 0 | 31.22 | 96.2 |
| 1 0 3 | 31.32 | 51.5 |
| 1 3 2 | 37.17 | 100.0 |
| 4 2 0 | 44.74 | 24.2 |
| 3 2 3 | 47.10 | 25.8 |
| 3 4 1 | 51.46 | 20.6 |
| 6 1 1 | 63.29 | 30.8 |


No. 4
Theoretical X-ray powder pattern
Compound: Ba8Pt3RhBr3
Radiation: Cu Ka
Structure: a PBE-relaxed structure
Kinematic intensities with the Lorentz-polarization factor, no thermal factor.

Structure:
```
data_Ba8Pt3RhBr3
_cell_length_a 9.1620
_cell_length_b 9.1620
_cell_length_c 24.6113
_cell_angle_alpha 90.00
_cell_angle_beta 90.00
_cell_angle_gamma 120.00
_space_group_name_H-M_alt 'R -3 m'
_space_group_IT_number 166
_space_group_name_Hall '-R 3 2"'
loop_
_atom_site_label
_atom_site_type_symbol
_atom_site_fract_x
_atom_site_fract_y
_atom_site_fract_z
Ba1 Ba 0.0000 0.0000 0.2361
Ba2 Ba 0.0090 0.5045 0.2374
Pt1 Pt 0.0000 0.5000 0.5000
Rh1 Rh 0.0000 0.0000 0.5000
Br1 Br 0.0000 0.5000 0.0000
```

Most intense lines, 2θ from 10° to 90°, low angle first:
| (hkl) | two_theta | I_rel |
| --- | --- | --- |
| 0 0 3 | 10.78 | 33.1 |
| 0 2 4 | 26.74 | 100.0 |
| 0 2 7 | 34.07 | 14.3 |
| 2 0 8 | 36.98 | 35.6 |
| 2 2 0 | 39.34 | 37.5 |
| 4 0 4 | 48.20 | 19.7 |
| 2 2 12 | 60.60 | 12.5 |
| 2 4 4 | 63.90 | 16.8 |


No. 5
Theoretical X-ray powder pattern
Compound: Ce2SmMg
Radiation: Cu Ka
Structure: a PBE-relaxed structure
Kinematic intensities with the Lorentz-polarization factor, no thermal factor.

Structure:
```
data_Ce2SmMg
_cell_length_a 3.2858
_cell_length_b 3.2858
_cell_length_c 37.8195
_cell_angle_alpha 90.00
_cell_angle_beta 90.00
_cell_angle_gamma 120.00
_space_group_name_H-M_alt 'R -3 m'
_space_group_IT_number 166
_space_group_name_Hall '-R 3 2"'
loop_
_atom_site_label
_atom_site_type_symbol
_atom_site_fract_x
_atom_site_fract_y
_atom_site_fract_z
Ce1 Ce 0.0000 0.0000 0.0872
Sm1 Sm 0.0000 0.0000 0.5000
Mg1 Mg 0.0000 0.0000 0.0000
```

Most intense lines, 2θ from 10° to 90°, low angle first:
| (hkl) | two_theta | I_rel |
| --- | --- | --- |
| 0 0 12 | 28.32 | 71.0 |
| 0 1 2 | 31.80 | 73.8 |
| 0 1 5 | 33.65 | 100.0 |
| 1 0 7 | 35.65 | 77.4 |
| 1 0 10 | 39.64 | 60.1 |
| 0 1 17 | 52.19 | 32.1 |
| 1 1 0 | 55.97 | 33.2 |
| 1 1 12 | 63.90 | 42.0 |


No. 6
Theoretical X-ray powder pattern
Compound: BaSr6Cd2
Radiation: Cu Ka
Structure: a PBE-relaxed structure
Kinematic intensities with the Lorentz-polarization factor, no thermal factor.

Structure:
```
data_BaSr6Cd2
_cell_length_a 14.7637
_cell_length_b 4.2152
_cell_length_c 14.3387
_cell_angle_alpha 90.00
_cell_angle_beta 110.88
_cell_angle_gamma 90.00
_space_group_name_H-M_alt 'C 1 2/m 1'
_space_group_IT_number 12
loop_
_space_group_symop_operation_xyz
'x,y,z'
'-x,-y,-z'
'-x,y,-z'
'x,-y,z'
'x+1/2,y+1/2,z'
'-x+1/2,-y+1/2,-z'
'-x+1/2,y+1/2,-z'
'x+1/2,-y+1/2,z'
loop_
_atom_site_label
_atom_site_type_symbol
_atom_site_fract_x
_atom_site_fract_y
_atom_site_fract_z
Ba1 Ba 0.0000 0.0000 0.0000
Sr1 Sr 0.0353 0.0000 0.3181
Sr2 Sr 0.1743 0.5000 0.5870
Sr3 Sr 0.1978 0.5000 0.8706
Cd1 Cd 0.1654 0.5000 0.2200
```

Most intense lines, 2θ from 10° to 90°, low angle first:
| (hkl) | two_theta | I_rel |
| --- | --- | --- |
| 4 0 -3 | 26.43 | 39.5 |
| 2 0 3 | 27.39 | 58.1 |
| 1 1 -3 | 28.24 | 100.0 |
| 3 1 0 | 28.73 | 96.6 |
| 0 2 0 | 42.91 | 18.8 |
| 1 1 6 | 48.63 | 17.8 |
| 5 1 3 | 49.57 | 21.1 |
| 2 2 3 | 51.66 | 19.5 |